Entry 1:
Structure and computed powder XRD pattern of Tb19Y6Ho4 (a cell relaxed with PBE; Cu Kα (λ = 1.5418 Å)).
Peak positions follow from Bragg's law for the DFT cell and can differ from measured ones.

Structural model:
```
data_Tb19Y6Ho4
_chemical_formula_sum 'Tb38 Y12 Ho8'
_symmetry_space_group_name_H-M 'I 2 3'
_symmetry_Int_Tables_number 197
_symmetry_space_group_name_Hall 'I 2 2 3'
_cell_length_a 12.4605
_cell_length_b 12.4605
_cell_length_c 12.4605
_cell_angle_alpha 90.00
_cell_angle_beta 90.00
_cell_angle_gamma 90.00
loop_
_atom_site_label
_atom_site_type_symbol
_atom_site_fract_x
_atom_site_fract_y
_atom_site_fract_z
Tb1 Tb 0.0000 0.0000 0.0000
Tb2 Tb 0.0000 0.0000 0.2586
Tb3 Tb 0.0634 0.2588 0.2784
Y1 Y 0.0000 0.3717 0.5000
Ho1 Ho 0.1795 0.1795 0.8205
```

Main lines, low angle first (10 to 90 degrees two-theta):
| hkl | 2θ (°) | I_rel |
| --- | --- | --- |
| 3 1 2 | 26.77 | 32 |
| 4 0 0 | 28.66 | 52 |
| 4 1 1 | 30.44 | 100 |
| 3 3 2 | 33.74 | 19 |
| 4 2 2 | 35.29 | 35 |
| 4 1 3 | 36.78 | 54 |
| 4 4 0 | 40.97 | 15 |
| 6 3 1 | 49.62 | 14 |
| 5 5 0 | 51.89 | 18 |
| 7 1 2 | 54.08 | 25 |
| 7 1 4 | 60.35 | 23 |
| 8 0 2 | 61.35 | 16 |



Entry 2:
Structure and computed powder XRD pattern of Er3GaHg3 (a cell relaxed with PBE; Cu Kα (λ = 1.5418 Å)).
Peak positions follow from Bragg's law for the DFT cell and can differ from measured ones.

Structural model:
```
data_Er3GaHg3
_chemical_formula_sum 'Er6 Ga2 Hg6'
_symmetry_space_group_name_H-M 'I m m 2'
_symmetry_Int_Tables_number 44
_cell_length_a 3.6177
_cell_length_b 4.7290
_cell_length_c 19.8917
_cell_angle_alpha 90.00
_cell_angle_beta 90.00
_cell_angle_gamma 90.00
loop_
_symmetry_equiv_pos_as_xyz
'x,y,z'
'-x,-y,z'
'-x,y,z'
'x,-y,z'
'x+1/2,y+1/2,z+1/2'
'-x+1/2,-y+1/2,z+1/2'
'-x+1/2,y+1/2,z+1/2'
'x+1/2,-y+1/2,z+1/2'
loop_
_atom_site_label
_atom_site_type_symbol
_atom_site_fract_x
_atom_site_fract_y
_atom_site_fract_z
Er1 Er 0.0000 0.0000 0.0000
Er2 Er 0.0000 0.0000 0.3875
Er3 Er 0.0000 0.5000 0.1994
Ga1 Ga 0.0000 0.5000 0.7633
Hg1 Hg 0.0000 0.0000 0.5430
Hg2 Hg 0.0000 0.0000 0.8428
Hg3 Hg 0.0000 0.5000 0.6304
```

Main lines, low angle first (10 to 90 degrees two-theta):
| hkl | 2θ (°) | I_rel |
| --- | --- | --- |
| 0 0 6 | 26.89 | 16 |
| 1 1 2 | 32.43 | 100 |
| 1 0 5 | 33.48 | 34 |
| 1 1 4 | 36.10 | 30 |
| 0 1 7 | 36.90 | 68 |
| 0 2 0 | 38.06 | 42 |
| 1 1 6 | 41.59 | 29 |
| 2 0 0 | 50.45 | 19 |
| 1 2 5 | 51.58 | 20 |
| 2 1 7 | 64.13 | 27 |
| 2 2 0 | 64.91 | 20 |
| 1 3 2 | 65.24 | 14 |



Entry 3:
Structure and computed powder XRD pattern of Tm2ZnGa2Co5 (a cell relaxed with PBE; Cu Kα (λ = 1.5418 Å)).
Peak positions follow from Bragg's law for the DFT cell and can differ from measured ones.

Structural model:
```
data_Tm2ZnGa2Co5
_chemical_formula_sum 'Tm4 Zn2 Ga4 Co10'
_symmetry_space_group_name_H-M 'P 4/m b m'
_symmetry_Int_Tables_number 127
_symmetry_space_group_name_Hall '-P 4 2ab'
_cell_length_a 9.3339
_cell_length_b 9.3339
_cell_length_c 3.3807
_cell_angle_alpha 90.00
_cell_angle_beta 90.00
_cell_angle_gamma 90.00
loop_
_atom_site_label
_atom_site_type_symbol
_atom_site_fract_x
_atom_site_fract_y
_atom_site_fract_z
Tm1 Tm 0.1733 0.3267 0.0000
Zn1 Zn 0.0000 0.0000 0.0000
Ga1 Ga 0.1245 0.6245 0.0000
Co1 Co 0.0000 0.5000 0.5000
Co2 Co 0.0612 0.8011 0.5000
```

Main lines, low angle first (10 to 90 degrees two-theta):
| hkl | 2θ (°) | I_rel |
| --- | --- | --- |
| 0 0 1 | 26.36 | 12 |
| 3 1 0 | 30.28 | 14 |
| 2 0 1 | 32.71 | 14 |
| 2 1 1 | 34.13 | 32 |
| 2 2 1 | 38.11 | 21 |
| 4 1 0 | 39.82 | 53 |
| 3 1 1 | 40.57 | 100 |
| 3 3 0 | 41.03 | 28 |
| 3 2 1 | 44.06 | 27 |
| 4 0 1 | 47.34 | 14 |
| 0 0 2 | 54.27 | 20 |
| 4 1 2 | 69.39 | 20 |